1.
This entry pairs a crystal structure of WS2 with its calculated XRD peak list. Radiation: a wavelength of 1.5418 Å. Structure: a cell relaxed with GGA-PBE.
Peak positions follow from Bragg's law for the DFT cell and can differ from measured ones.

Principal peaks in the range 5 to 70 degrees two-theta, in order of rising 2θ:
d 7.121, 12.4 deg, rel. 100
d 3.561, 25.0 deg, rel. 7
d 2.741, 32.7 deg, rel. 21
d 2.675, 33.5 deg, rel. 21
d 2.454, 36.6 deg, rel. 22
d 2.320, 38.8 deg, rel. 22
d 2.048, 44.2 deg, rel. 17
d 1.920, 47.3 deg, rel. 13
d 1.596, 57.8 deg, rel. 9
d 1.557, 59.4 deg, rel. 11

Cell and atoms:
Cell lengths 7.3555, 7.3555, 7.3555 Å; angles 25.06, 25.06, 25.06 degrees
Positions (direct):
W: 0.0000 0.0000 0.0000
S: 0.2598 0.2598 0.2598
S: 0.4069 0.4069 0.4069

---

2.
This entry pairs a crystal structure of WS2 with its calculated XRD peak list. Radiation: a wavelength of 1.5418 Å. Structure: a cell relaxed with GGA-PBE.
Peak positions follow from Bragg's law for the DFT cell and can differ from measured ones.

Principal peaks in the range 5 to 70 degrees two-theta, in order of rising 2θ:
d 12.101, 7.3 deg, rel. 25
d 8.067, 11.0 deg, rel. 100
d 6.051, 14.6 deg, rel. 33
d 2.745, 32.6 deg, rel. 16
d 2.694, 33.3 deg, rel. 17
d 2.614, 34.3 deg, rel. 13
d 2.400, 37.5 deg, rel. 29
d 2.280, 39.5 deg, rel. 16
d 2.040, 44.4 deg, rel. 20
d 1.927, 47.2 deg, rel. 16

Cell and atoms:
Cell lengths 3.1907, 3.1907, 24.2024 Å; angles 90.00, 90.00, 120.00 degrees
Positions (direct):
W: 0.3333 0.6667 0.1467
W: 0.6667 0.3333 0.8533
S: 0.3333 0.6667 0.7883
S: 0.3333 0.6667 0.9183
S: 0.6667 0.3333 0.0817
S: 0.6667 0.3333 0.2117

---

3.
This entry pairs a crystal structure of WS2 with its calculated XRD peak list. Radiation: a wavelength of 1.5418 Å. Structure: a cell relaxed with GGA-PBE.
Peak positions follow from Bragg's law for the DFT cell and can differ from measured ones.

Principal peaks in the range 5 to 70 degrees two-theta, in order of rising 2θ:
d 4.740, 18.7 deg, rel. 100
d 3.026, 29.5 deg, rel. 76
d 2.825, 31.7 deg, rel. 28
d 2.695, 33.2 deg, rel. 10
d 2.343, 38.4 deg, rel. 33
d 1.950, 46.6 deg, rel. 19
d 1.906, 47.7 deg, rel. 16
d 1.828, 49.9 deg, rel. 28
d 1.613, 57.1 deg, rel. 23
d 1.521, 60.9 deg, rel. 10

Cell and atoms:
Cell lengths 6.2683, 6.2683, 6.2683 Å; angles 129.06, 129.06, 74.91 degrees
Positions (direct):
W: 0.0000 0.0000 0.0000
W: 0.7500 0.2500 0.5000
S: 0.1246 0.6250 0.9996
S: 0.3750 0.3746 0.4996
S: 0.6254 0.1250 0.0004
S: 0.8750 0.8754 0.5004

---

4.
This entry pairs a crystal structure of WS2 with its calculated XRD peak list. Radiation: a wavelength of 1.5418 Å. Structure: a cell relaxed with GGA-PBE.
Peak positions follow from Bragg's law for the DFT cell and can differ from measured ones.

Principal peaks in the range 5 to 70 degrees two-theta, in order of rising 2θ:
d 7.101, 12.5 deg, rel. 100
d 3.551, 25.1 deg, rel. 7
d 2.763, 32.4 deg, rel. 13
d 2.712, 33.0 deg, rel. 20
d 2.575, 34.8 deg, rel. 13
d 2.386, 37.7 deg, rel. 38
d 1.981, 45.8 deg, rel. 28
d 1.635, 56.2 deg, rel. 8
d 1.595, 57.8 deg, rel. 10
d 1.557, 59.4 deg, rel. 11

Cell and atoms:
Cell lengths 3.1907, 3.1907, 14.2024 Å; angles 90.00, 90.00, 120.00 degrees
Positions (direct):
W: 0.3333 0.6667 0.2500
W: 0.6667 0.3333 0.7500
S: 0.3333 0.6667 0.6392
S: 0.3333 0.6667 0.8608
S: 0.6667 0.3333 0.1392
S: 0.6667 0.3333 0.3608

---

5.
This entry pairs a crystal structure of WS2 with its calculated XRD peak list. Radiation: a wavelength of 1.5418 Å. Structure: a cell relaxed with GGA-PBE.
Peak positions follow from Bragg's law for the DFT cell and can differ from measured ones.

Principal peaks in the range 5 to 70 degrees two-theta, in order of rising 2θ:
d 12.802, 6.9 deg, rel. 14
d 7.681, 11.5 deg, rel. 100
d 6.401, 13.8 deg, rel. 39
d 2.762, 32.4 deg, rel. 17
d 2.701, 33.2 deg, rel. 19
d 2.600, 34.5 deg, rel. 12
d 2.395, 37.5 deg, rel. 43
d 2.018, 44.9 deg, rel. 20
d 1.947, 46.7 deg, rel. 18
d 1.595, 57.8 deg, rel. 12

Cell and atoms:
Cell lengths 3.1907, 3.1907, 38.4048 Å; angles 90.00, 90.00, 120.00 degrees
Positions (direct):
W: 0.3333 0.6667 0.2774
W: 0.3333 0.6667 0.9075
W: 0.6667 0.3333 0.0925
W: 0.6667 0.3333 0.7226
S: 0.3333 0.6667 0.0515
S: 0.3333 0.6667 0.1334
S: 0.3333 0.6667 0.6817
S: 0.3333 0.6667 0.7636
S: 0.6667 0.3333 0.2364
S: 0.6667 0.3333 0.3183
S: 0.6667 0.3333 0.8666
S: 0.6667 0.3333 0.9485

---

6.
This entry pairs a crystal structure of Y2S3 with its calculated XRD peak list. Radiation: a wavelength of 1.5418 Å. Structure: a cell relaxed with GGA-PBE.
Peak positions follow from Bragg's law for the DFT cell and can differ from measured ones.

Principal peaks in the range 5 to 70 degrees two-theta, in order of rising 2θ:
d 3.405, 26.2 deg, rel. 76
d 2.641, 33.9 deg, rel. 100
d 2.632, 34.1 deg, rel. 43
d 2.229, 40.5 deg, rel. 85
d 1.866, 48.8 deg, rel. 16
d 1.778, 51.4 deg, rel. 26
d 1.638, 56.2 deg, rel. 13
d 1.635, 56.3 deg, rel. 18
d 1.355, 69.4 deg, rel. 20
d 1.351, 69.6 deg, rel. 14

Cell and atoms:
Cell lengths 13.8074, 13.8074, 13.8074 Å; angles 144.79, 144.79, 50.65 degrees
Positions (direct):
Y: 0.0489 0.4282 0.8998
Y: 0.1649 0.1649 0.0000
Y: 0.1782 0.2989 0.3998
Y: 0.2217 0.8218 0.1208
Y: 0.2566 0.1250 0.6316
Y: 0.3750 0.7434 0.8684
Y: 0.4934 0.6250 0.3684
Y: 0.5283 0.1491 0.1002
Y: 0.5718 0.4717 0.6208
Y: 0.5851 0.0851 0.5000
Y: 0.7011 0.1009 0.8792
Y: 0.8351 0.8351 0.0000
Y: 0.8509 0.9511 0.3792
Y: 0.8750 0.5066 0.1316
Y: 0.8991 0.7783 0.6002
Y: 0.9149 0.4149 0.5000
S: 0.9998 0.1150 0.2461
S: 0.0736 0.8275 0.6136
S: 0.1725 0.7860 0.2461
S: 0.1881 0.0935 0.7470
S: 0.1911 0.5965 0.7530
S: 0.2101 0.4640 0.8864
S: 0.2140 0.4601 0.3864
S: 0.2463 0.0002 0.1152
S: 0.3465 0.4411 0.2530
S: 0.4035 0.1565 0.5946
S: 0.5037 0.1189 0.2539
S: 0.5360 0.4225 0.7461
S: 0.5399 0.9264 0.7539
S: 0.5589 0.8119 0.9054
S: 0.5619 0.8089 0.4054
S: 0.5775 0.3236 0.1136
S: 0.6764 0.7899 0.2539
S: 0.7502 0.4963 0.6152
S: 0.8435 0.4381 0.2470
S: 0.8650 0.2498 0.7461
S: 0.8689 0.7537 0.7539
S: 0.8811 0.1350 0.3848
S: 0.8850 0.1311 0.8848
S: 0.9065 0.6535 0.0946